No. 1
The following is a simulated powder diffractogram of LaAsHPd6. It was derived from a DFT-relaxed cell (GGA-PBE, Alexandria), using a wavelength of 1.5418 Å.
No peak broadening, texture or thermal motion is included.

Cell lengths 7.0940, 8.0866, 10.9427 Å; angles 90.00, 90.00, 90.00 degrees
Space group Imma (No. 74)
Symmetry-distinct sites (fractional):
La: 0.0000 0.2500 0.0733 [4 per cell]
As: 0.0000 0.0000 0.5000 [4 per cell]
H: 0.2500 0.2500 0.7500 [4 per cell]
Pd: 0.0000 0.2500 0.3728 [4 per cell]
Pd: 0.0000 0.2500 0.7303 [4 per cell]
Pd: 0.2196 0.0445 0.8750 [16 per cell]

Largest 6 diffraction maxima, most intense first, 10° ≤ 2θ ≤ 90°:
33.6°, I = 100, hkl 2 2 0; 41.7°, I = 68, hkl 0 3 3; 37.1°, I = 60, hkl 2 1 3; 47.6°, I = 43, hkl 2 2 4; 35.5°, I = 34, hkl 1 2 3; 26.8°, I = 24, hkl 0 1 3

No. 2
The following is a simulated powder diffractogram of LaAsHPt. It was derived from a DFT-relaxed cell (GGA-PBE, Alexandria), using a wavelength of 1.5418 Å.
No peak broadening, texture or thermal motion is included.

Cell lengths 4.2176, 4.2176, 9.8497 Å; angles 90.00, 90.00, 120.00 degrees
Space group P6_3mc (No. 186)
Symmetry-distinct sites (fractional):
La: 0.3333 0.6667 0.0000 [2 per cell]
As: 0.3333 0.6667 0.6863 [2 per cell]
H: 0.0000 0.0000 0.4256 [2 per cell]
Pt: 0.0000 0.0000 0.2497 [2 per cell]

Largest 6 diffraction maxima, most intense first, 10° ≤ 2θ ≤ 90°:
30.5°, I = 100, hkl 1 0 2; 42.9°, I = 60, hkl 1 1 0; 36.8°, I = 37, hkl 1 0 3; 57.5°, I = 35, hkl 1 1 4; 26.0°, I = 34, hkl 1 0 1; 36.5°, I = 21, hkl 0 0 4

What is the formula in the second record? LaAsHPt